Structure and theoretical powder XRD pattern of Mg3Si (a crystal structure in the Materials Project, relaxed with GGA-PBE; Cu Kα).
No peak broadening, texture or thermal motion is included.

Largest 6 diffraction maxima, by intensity, 2θ from 10° to 90°:
2theta	I (rel.)	index
38.22	100	1 1 1
39.18	47	0 1 2
36.41	39	0 2 0
33.44	25	1 0 1
66.72	18	1 3 1
73.32	18	1 2 3

Cell and atoms:
```
data_Mg3Si
_symmetry_space_group_name_H-M 'P m m 2'
_symmetry_Int_Tables_number 25
_cell_length_a 3.1273
_cell_length_b 4.9352
_cell_length_c 5.1963
_cell_angle_alpha 90.00
_cell_angle_beta 90.00
_cell_angle_gamma 90.00
loop_
_symmetry_equiv_pos_as_xyz
'x,y,z'
'-x,-y,z'
'-x,y,z'
'x,-y,z'
loop_
_atom_site_label
_atom_site_type_symbol
_atom_site_fract_x
_atom_site_fract_y
_atom_site_fract_z
Mg1 Mg 0.0000 0.0000 0.0000
Mg2 Mg 0.0000 0.5000 0.3413
Mg3 Mg 0.5000 0.0000 0.5149
Si1 Si 0.5000 0.5000 0.8379
```

=====

Structure and theoretical powder XRD pattern of Hg (a crystal structure in the Materials Project, relaxed with GGA-PBE; Cu Kα).
No peak broadening, texture or thermal motion is included.

Largest 6 diffraction maxima, by intensity, 2θ from 10° to 90°:
2theta	I (rel.)	index
33.05	100	1 1 1
32.64	71	0 2 1
31.71	42	0 0 2
28.89	37	1 1 0
43.42	25	1 1 2
60.98	25	1 3 2

Cell and atoms:
```
data_Hg
_symmetry_space_group_name_H-M 'C m c m'
_symmetry_Int_Tables_number 63
_symmetry_space_group_name_Hall '-C 2c 2'
_cell_length_a 3.5503
_cell_length_b 6.2789
_cell_length_c 5.6441
_cell_angle_alpha 90.00
_cell_angle_beta 90.00
_cell_angle_gamma 90.00
loop_
_atom_site_label
_atom_site_type_symbol
_atom_site_fract_x
_atom_site_fract_y
_atom_site_fract_z
Hg1 Hg 0.0000 0.1505 0.2500
```

=====

Structure and theoretical powder XRD pattern of RbAlPdF6 (a crystal structure in the Materials Project, relaxed with GGA-PBE; Cu Kα).
No peak broadening, texture or thermal motion is included.

Largest 6 diffraction maxima, by intensity, 2θ from 10° to 90°:
2theta	I (rel.)	index
28.47	100	2 1 1
28.81	89	0 1 3
50.02	45	2 2 4
14.97	40	0 1 1
45.81	38	0 1 5
30.21	29	0 2 2

Cell and atoms:
```
data_RbAlPdF6
_symmetry_space_group_name_H-M 'P n m a'
_symmetry_Int_Tables_number 62
_cell_length_a 7.3931
_cell_length_b 7.2329
_cell_length_c 10.2894
_cell_angle_alpha 90.00
_cell_angle_beta 90.00
_cell_angle_gamma 90.00
loop_
_symmetry_equiv_pos_as_xyz
'x,y,z'
'-x,-y,-z'
'-x+1/2,-y,z+1/2'
'x+1/2,y,-z+1/2'
'x+1/2,-y+1/2,-z+1/2'
'-x+1/2,y+1/2,z+1/2'
'-x,y+1/2,-z'
'x,-y+1/2,z'
loop_
_atom_site_label
_atom_site_type_symbol
_atom_site_fract_x
_atom_site_fract_y
_atom_site_fract_z
Rb1 Rb 0.0191 0.2500 0.1318
Al1 Al 0.0000 0.0000 0.5000
Pd1 Pd 0.2193 0.2500 0.7626
F1 F 0.0301 0.2500 0.4839
F2 F 0.0402 0.7500 0.1407
F3 F 0.1342 0.5008 0.6486
F4 F 0.2066 0.5311 0.4052
```